This entry pairs a crystal structure of LaNd3Cr4O12 with its theoretical PXRD pattern. Radiation: Cu Ka. Structure: a GGA+U-relaxed structure.
Kinematic intensities with the Lorentz-polarization factor, no thermal factor.

Atomic structure:
```
data_LaNd3Cr4O12
_chemical_formula_sum 'La1 Nd3 Cr4 O12'
_space_group_name_H-M_alt 'P 1 m 1'
_space_group_IT_number 6
_cell_length_a 5.499
_cell_length_b 7.832
_cell_length_c 5.628
_cell_angle_alpha 90.00
_cell_angle_beta 90.03
_cell_angle_gamma 90.00
loop_
_space_group_symop_operation_xyz
'x,y,z'
'x,-y,z'
loop_
_atom_site_label
_atom_site_fract_x
_atom_site_fract_y
_atom_site_fract_z
La1 0.000 0.000 0.000
Nd1 0.477 0.000 0.507
Nd2 0.503 0.500 0.406
Nd3 0.977 0.500 0.904
Cr1 0.490 0.251 0.957
Cr2 0.991 0.251 0.455
O1 0.080 0.500 0.481
O2 0.199 0.205 0.746
O3 0.287 0.204 0.252
O4 0.399 0.500 0.983
O5 0.572 0.000 0.930
O6 0.698 0.299 0.665
O7 0.783 0.299 0.164
O8 0.900 0.000 0.435
```

Top 6 peaks for 10° ≤ 2θ ≤ 90°, sorted by position:
- hkl 1 0 1, d = 3.933 Å, intensity 18
- hkl 0 0 2, d = 2.814 Å, intensity 21
- hkl 1 2 1, d = 2.775 Å, intensity 100
- hkl 2 0 0, d = 2.749 Å, intensity 24
- hkl 2 0 2, d = 1.966 Å, intensity 23
- hkl 2 4 0, d = 1.594 Å, intensity 22